For Ho3Ag3SbS8, the GGA-PBE geometry in Alexandria gives the simulated PXRD pattern in this record (Cu Kα (weighted mean of Kα1 and Kα2)).
Peak positions follow from Bragg's law for the DFT cell and can differ from measured ones.

Structural model:
a b c (Å): 13.368 7.917 7.787
angles (deg): 90.00 124.08 90.00
Space group C2/m (No. 12)
Inequivalent atoms, fractional coordinates:
Ho1 0.000 0.000 0.000
Ho2 0.250 0.250 0.500
Ag1 0.000 0.500 0.500
Ag2 0.250 0.250 0.000
Sb1 0.000 0.500 0.000
S1 0.002 0.259 0.238
S2 0.239 0.500 0.245
S3 0.246 0.000 0.256

Largest 8 diffraction maxima, in order of rising 2θ, 2θ = 10–90°:
d/Å	two_theta	intensity
6.289	14.08	15
3.222	27.69	46
3.145	28.38	15
2.773	32.28	100
1.979	45.85	36
1.946	46.68	11
1.941	46.79	23
1.611	57.19	18